Entry 1:
Calculated X-ray powder pattern of TlS for Cu Ka, from DFT lattice parameters and positions (GGA-PBE).
Peak positions follow from Bragg's law for the DFT cell and can differ from measured ones.

Atomic structure:
```
data_TlS
_cell_length_a 4.2882
_cell_length_b 4.2882
_cell_length_c 5.5197
_cell_angle_alpha 90.00
_cell_angle_beta 90.00
_cell_angle_gamma 90.00
_space_group_name_H-M_alt 'I 4/m m m'
_space_group_IT_number 139
_space_group_name_Hall '-I 4 2'
loop_
_atom_site_label
_atom_site_fract_x
_atom_site_fract_y
_atom_site_fract_z
Tl1 0.0000 0.0000 0.0000
S1 0.0000 0.0000 0.5000
```

Main lines, in order of rising 2θ (2θ from 10° to 80°):
| index | 2θ/deg | d [Å] | intensity |
| --- | --- | --- | --- |
| 1 0 1 | 26.32 | 3.386 | 100 |
| 1 1 0 | 29.46 | 3.032 | 76 |
| 0 0 2 | 32.44 | 2.760 | 30 |
| 1 1 2 | 44.38 | 2.041 | 50 |
| 2 1 1 | 50.37 | 1.812 | 37 |
| 2 0 2 | 54.20 | 1.692 | 42 |



Entry 2:
Calculated X-ray powder pattern of Tl3S5 for Cu Ka, from DFT lattice parameters and positions (GGA-PBE).
Peak positions follow from Bragg's law for the DFT cell and can differ from measured ones.

Atomic structure:
```
data_Tl3S5
_cell_length_a 6.2038
_cell_length_b 7.4504
_cell_length_c 10.8902
_cell_angle_alpha 87.14
_cell_angle_beta 80.87
_cell_angle_gamma 72.66
_space_group_name_H-M_alt 'P 1'
_space_group_IT_number 1
_space_group_name_Hall 'P 1'
loop_
_atom_site_label
_atom_site_fract_x
_atom_site_fract_y
_atom_site_fract_z
Tl1 0.0000 0.0000 0.0000
Tl2 0.0924 0.4648 0.8023
Tl3 0.4415 0.1285 0.3273
Tl4 0.5380 0.5900 0.1289
Tl5 0.7141 0.0440 0.6537
Tl6 0.8203 0.5496 0.4753
S1 0.0671 0.4588 0.1321
S2 0.1994 0.1310 0.6107
S3 0.2494 0.7458 0.4770
S4 0.2850 0.8472 0.6521
S5 0.3348 0.4621 0.5188
S6 0.4714 0.1323 0.9974
S7 0.5643 0.3290 0.8734
S8 0.5694 0.8726 0.9091
S9 0.9703 0.2638 0.2562
S10 0.9703 0.7188 0.2199
```

Main lines, in order of rising 2θ (2θ from 10° to 80°):
| index | 2θ/deg | d [Å] | intensity |
| --- | --- | --- | --- |
| 1 1 2 | 21.71 | 4.093 | 29 |
| -1 1 1 | 24.62 | 3.617 | 34 |
| 0 2 0 | 25.04 | 3.556 | 36 |
| 1 -1 2 | 26.44 | 3.370 | 43 |
| 0 1 3 | 27.88 | 3.200 | 100 |
| 2 0 1 | 30.41 | 2.939 | 41 |



Entry 3:
Calculated X-ray powder pattern of TlS for Cu Ka, from DFT lattice parameters and positions (GGA-PBE).
Peak positions follow from Bragg's law for the DFT cell and can differ from measured ones.

Atomic structure:
```
data_TlS
_cell_length_a 4.2654
_cell_length_b 4.2654
_cell_length_c 8.1930
_cell_angle_alpha 90.00
_cell_angle_beta 90.00
_cell_angle_gamma 120.00
_space_group_name_H-M_alt 'P 63 m c'
_space_group_IT_number 186
_space_group_name_Hall 'P 6c -2c'
loop_
_atom_site_label
_atom_site_fract_x
_atom_site_fract_y
_atom_site_fract_z
Tl1 0.3333 0.6667 0.0000
S1 0.3333 0.6667 0.6562
```

Main lines, in order of rising 2θ (2θ from 10° to 80°):
| index | 2θ/deg | d [Å] | intensity |
| --- | --- | --- | --- |
| 0 0 2 | 21.69 | 4.097 | 38 |
| 1 0 0 | 24.09 | 3.694 | 35 |
| 1 0 1 | 26.47 | 3.367 | 100 |
| 1 0 3 | 41.10 | 2.196 | 51 |
| 1 1 0 | 42.38 | 2.133 | 31 |
| 1 1 2 | 48.10 | 1.892 | 29 |



Entry 4:
Calculated X-ray powder pattern of TlS2 for Cu Ka, from DFT lattice parameters and positions (GGA-PBE).
Peak positions follow from Bragg's law for the DFT cell and can differ from measured ones.

Atomic structure:
```
data_TlS2
_cell_length_a 11.8516
_cell_length_b 4.0669
_cell_length_c 6.8553
_cell_angle_alpha 90.00
_cell_angle_beta 90.24
_cell_angle_gamma 90.00
_space_group_name_H-M_alt 'C 1 2/m 1'
_space_group_IT_number 12
_space_group_name_Hall '-C 2y'
loop_
_atom_site_label
_atom_site_fract_x
_atom_site_fract_y
_atom_site_fract_z
Tl1 0.1221 0.0000 0.2205
S1 0.1143 0.5000 0.7851
S2 0.1574 0.0000 0.6733
```

Main lines, in order of rising 2θ (2θ from 10° to 80°):
| index | 2θ/deg | d [Å] | intensity |
| --- | --- | --- | --- |
| 2 0 -1 | 19.80 | 4.484 | 98 |
| 1 1 0 | 23.12 | 3.847 | 73 |
| 0 0 2 | 26.00 | 3.428 | 84 |
| 1 1 -1 | 26.57 | 3.355 | 100 |
| 4 0 0 | 30.15 | 2.964 | 73 |
| 3 1 1 | 34.24 | 2.619 | 83 |



Entry 5:
Calculated X-ray powder pattern of TlS for Cu Ka, from DFT lattice parameters and positions (GGA-PBE).
Peak positions follow from Bragg's law for the DFT cell and can differ from measured ones.

Atomic structure:
```
data_TlS
_cell_length_a 11.9881
_cell_length_b 11.9881
_cell_length_c 4.2727
_cell_angle_alpha 90.00
_cell_angle_beta 90.00
_cell_angle_gamma 90.00
_space_group_name_H-M_alt 'I 4/m'
_space_group_IT_number 87
_space_group_name_Hall '-I 4'
loop_
_atom_site_label
_atom_site_fract_x
_atom_site_fract_y
_atom_site_fract_z
Tl1 0.1228 0.2853 0.0000
S1 0.1021 0.7272 0.0000
```

Main lines, in order of rising 2θ (2θ from 10° to 80°):
| index | 2θ/deg | d [Å] | intensity |
| --- | --- | --- | --- |
| 2 0 0 | 14.78 | 5.994 | 55 |
| 1 3 0 | 23.47 | 3.791 | 55 |
| 2 1 1 | 26.68 | 3.341 | 100 |
| 4 2 0 | 33.43 | 2.681 | 26 |
| 4 1 1 | 37.41 | 2.404 | 21 |
| 5 0 1 | 43.27 | 2.091 | 52 |



Entry 6:
Calculated X-ray powder pattern of Tm7TlS5 for Cu Ka, from DFT lattice parameters and positions (GGA-PBE).
Peak positions follow from Bragg's law for the DFT cell and can differ from measured ones.

Atomic structure:
```
data_Tm7TlS5
_cell_length_a 3.8570
_cell_length_b 23.0990
_cell_length_c 6.7134
_cell_angle_alpha 90.00
_cell_angle_beta 106.63
_cell_angle_gamma 90.00
_space_group_name_H-M_alt 'P 1 21/m 1'
_space_group_IT_number 11
_space_group_name_Hall '-P 2yb'
loop_
_atom_site_label
_atom_site_fract_x
_atom_site_fract_y
_atom_site_fract_z
Tm1 0.0123 0.2500 0.0245
Tm2 0.1370 0.5352 0.2742
Tm3 0.3256 0.1722 0.6516
Tm4 0.4060 0.6102 0.8116
Tl1 0.3022 0.7500 0.6053
S1 0.0434 0.6383 0.0867
S2 0.2268 0.0702 0.4540
S3 0.5000 0.0000 0.0000
```

Main lines, in order of rising 2θ (2θ from 10° to 80°):
| index | 2θ/deg | d [Å] | intensity |
| --- | --- | --- | --- |
| 1 4 0 | 28.68 | 3.112 | 42 |
| 0 7 1 | 30.45 | 2.936 | 93 |
| 1 5 0 | 30.99 | 2.886 | 46 |
| 1 2 1 | 32.16 | 2.783 | 100 |
| 1 3 1 | 33.34 | 2.687 | 52 |
| 0 5 3 | 46.75 | 1.943 | 37 |



Entry 7:
Calculated X-ray powder pattern of Tm5TlS4 for Cu Ka, from DFT lattice parameters and positions (GGA-PBE).
Peak positions follow from Bragg's law for the DFT cell and can differ from measured ones.

Atomic structure:
```
data_Tm5TlS4
_cell_length_a 13.1154
_cell_length_b 3.8649
_cell_length_c 9.9379
_cell_angle_alpha 90.00
_cell_angle_beta 120.02
_cell_angle_gamma 90.00
_space_group_name_H-M_alt 'C 1 2/m 1'
_space_group_IT_number 12
_space_group_name_Hall '-C 2y'
loop_
_atom_site_label
_atom_site_fract_x
_atom_site_fract_y
_atom_site_fract_z
Tm1 0.0000 0.0000 0.0000
Tm2 0.1118 0.5000 0.3860
Tm3 0.2035 0.0000 0.8156
Tl1 0.0000 0.0000 0.5000
S1 0.0963 0.5000 0.9023
S2 0.2021 0.0000 0.2863
```

Main lines, in order of rising 2θ (2θ from 10° to 80°):
| index | 2θ/deg | d [Å] | intensity |
| --- | --- | --- | --- |
| 1 1 1 | 28.00 | 3.187 | 28 |
| 2 0 2 | 31.76 | 2.817 | 54 |
| 3 1 -2 | 32.19 | 2.781 | 100 |
| 1 1 -4 | 45.32 | 2.001 | 53 |
| 5 1 0 | 46.37 | 1.958 | 37 |
| 2 2 2 | 57.86 | 1.594 | 20 |



Entry 8:
Calculated X-ray powder pattern of Y2Tm2Tl2S for Cu Ka, from DFT lattice parameters and positions (GGA-PBE).
Peak positions follow from Bragg's law for the DFT cell and can differ from measured ones.

Atomic structure:
```
data_Y2Tm2Tl2S
_cell_length_a 4.9943
_cell_length_b 4.9943
_cell_length_c 15.9906
_cell_angle_alpha 90.00
_cell_angle_beta 90.00
_cell_angle_gamma 90.00
_space_group_name_H-M_alt 'I 4/m m m'
_space_group_IT_number 139
_space_group_name_Hall '-I 4 2'
loop_
_atom_site_label
_atom_site_fract_x
_atom_site_fract_y
_atom_site_fract_z
Y1 0.0000 0.0000 0.1718
Tm1 0.0000 0.5000 0.0000
Tl1 0.0000 0.0000 0.3673
S1 0.0000 0.0000 0.0000
```

Main lines, in order of rising 2θ (2θ from 10° to 80°):
| index | 2θ/deg | d [Å] | intensity |
| --- | --- | --- | --- |
| 0 0 2 | 11.07 | 7.995 | 32 |
| 1 1 2 | 27.61 | 3.230 | 57 |
| 1 1 4 | 33.87 | 2.647 | 100 |
| 2 0 0 | 35.96 | 2.497 | 66 |
| 2 0 6 | 50.06 | 1.822 | 25 |
| 3 1 4 | 63.32 | 1.469 | 34 |



Entry 9:
Calculated X-ray powder pattern of Y3TmTl2S for Cu Ka, from DFT lattice parameters and positions (GGA-PBE).
Peak positions follow from Bragg's law for the DFT cell and can differ from measured ones.

Atomic structure:
```
data_Y3TmTl2S
_cell_length_a 5.0104
_cell_length_b 5.0565
_cell_length_c 16.0050
_cell_angle_alpha 90.00
_cell_angle_beta 90.00
_cell_angle_gamma 90.00
_space_group_name_H-M_alt 'I m m m'
_space_group_IT_number 71
_space_group_name_Hall '-I 2 2'
loop_
_atom_site_label
_atom_site_fract_x
_atom_site_fract_y
_atom_site_fract_z
Y1 0.0000 0.0000 0.0000
Y2 0.0000 0.5000 0.1720
Tm1 0.0000 0.0000 0.5000
Tl1 0.0000 0.5000 0.3668
S1 0.0000 0.5000 0.0000
```

Main lines, in order of rising 2θ (2θ from 10° to 80°):
| index | 2θ/deg | d [Å] | intensity |
| --- | --- | --- | --- |
| 1 1 0 | 25.02 | 3.559 | 29 |
| 1 1 2 | 27.43 | 3.252 | 49 |
| 0 1 5 | 33.15 | 2.703 | 29 |
| 1 1 4 | 33.70 | 2.659 | 100 |
| 0 2 0 | 35.51 | 2.528 | 35 |
| 2 0 0 | 35.84 | 2.505 | 34 |



Entry 10:
Calculated X-ray powder pattern of UTl2S5 for Cu Ka, from DFT lattice parameters and positions (GGA-PBE).
Peak positions follow from Bragg's law for the DFT cell and can differ from measured ones.

Atomic structure:
```
data_UTl2S5
_cell_length_a 13.5274
_cell_length_b 5.8885
_cell_length_c 8.3296
_cell_angle_alpha 90.00
_cell_angle_beta 124.59
_cell_angle_gamma 90.00
_space_group_name_H-M_alt 'C 1 m 1'
_space_group_IT_number 8
_space_group_name_Hall 'C -2y'
loop_
_atom_site_label
_atom_site_fract_x
_atom_site_fract_y
_atom_site_fract_z
U1 0.0000 0.0000 0.0000
Tl1 0.2525 0.0000 0.8674
Tl2 0.3339 0.5000 0.3430
S1 0.2211 0.0000 0.1928
S2 0.4666 0.1817 0.7600
S3 0.4817 0.2301 0.2032
```

Main lines, in order of rising 2θ (2θ from 10° to 80°):
| index | 2θ/deg | d [Å] | intensity |
| --- | --- | --- | --- |
| 0 0 1 | 12.91 | 6.858 | 57 |
| 1 1 0 | 17.03 | 5.206 | 64 |
| 1 1 1 | 24.05 | 3.700 | 100 |
| 3 1 -1 | 24.88 | 3.579 | 56 |
| 4 0 -1 | 26.87 | 3.318 | 42 |
| 3 1 -2 | 27.82 | 3.206 | 67 |



Entry 11:
Calculated X-ray powder pattern of U2Tl4S5 for Cu Ka, from DFT lattice parameters and positions (GGA-PBE).
Peak positions follow from Bragg's law for the DFT cell and can differ from measured ones.

Atomic structure:
```
data_U2Tl4S5
_cell_length_a 3.9641
_cell_length_b 3.9641
_cell_length_c 69.5269
_cell_angle_alpha 90.00
_cell_angle_beta 90.00
_cell_angle_gamma 120.00
_space_group_name_H-M_alt 'R -3 m'
_space_group_IT_number 166
_space_group_name_Hall '-R 3 2"'
loop_
_atom_site_label
_atom_site_fract_x
_atom_site_fract_y
_atom_site_fract_z
U1 0.0000 0.0000 0.1444
Tl1 0.0000 0.0000 0.3129
Tl2 0.0000 0.0000 0.4141
S1 0.0000 0.0000 0.2099
S2 0.0000 0.0000 0.3759
S3 0.0000 0.0000 0.5000
```

Main lines, in order of rising 2θ (2θ from 10° to 80°):
| index | 2θ/deg | d [Å] | intensity |
| --- | --- | --- | --- |
| 0 0 18 | 23.03 | 3.863 | 44 |
| 1 0 4 | 26.46 | 3.368 | 39 |
| 1 0 7 | 27.49 | 3.245 | 54 |
| 0 1 11 | 29.61 | 3.017 | 100 |
| 1 1 0 | 45.78 | 1.982 | 47 |
| 1 1 18 | 51.85 | 1.763 | 31 |



Entry 12:
Calculated X-ray powder pattern of U4TlS8 for Cu Ka, from DFT lattice parameters and positions (GGA-PBE).
Peak positions follow from Bragg's law for the DFT cell and can differ from measured ones.

Atomic structure:
```
data_U4TlS8
_cell_length_a 13.8604
_cell_length_b 8.0095
_cell_length_c 10.3580
_cell_angle_alpha 90.00
_cell_angle_beta 131.43
_cell_angle_gamma 90.00
_space_group_name_H-M_alt 'C 1 2/m 1'
_space_group_IT_number 12
_space_group_name_Hall '-C 2y'
loop_
_atom_site_label
_atom_site_fract_x
_atom_site_fract_y
_atom_site_fract_z
U1 0.0000 0.2483 0.0000
U2 0.2419 0.0000 0.9847
Tl1 0.0000 0.5000 0.5000
S1 0.0008 0.5000 0.1768
S2 0.0113 0.0000 0.1860
S3 0.2422 0.2587 0.8168
```

Main lines, in order of rising 2θ (2θ from 10° to 80°):
| index | 2θ/deg | d [Å] | intensity |
| --- | --- | --- | --- |
| 0 0 1 | 11.39 | 7.766 | 100 |
| 0 0 2 | 22.91 | 3.882 | 29 |
| 2 2 -1 | 25.70 | 3.467 | 65 |
| 2 2 -2 | 28.25 | 3.159 | 34 |
| 4 0 0 | 34.56 | 2.595 | 42 |
| 2 2 -3 | 34.77 | 2.580 | 40 |



> What is the formula in the fifth record?

TlS



What did the eighth record say?
Calculated X-ray powder pattern of Y2Tm2Tl2S for Cu Ka, from DFT lattice parameters and positions (GGA-PBE).
Peak positions follow from Bragg's law for the DFT cell and can differ from measured ones.

Atomic structure:
```
data_Y2Tm2Tl2S
_cell_length_a 4.9943
_cell_length_b 4.9943
_cell_length_c 15.9906
_cell_angle_alpha 90.00
_cell_angle_beta 90.00
_cell_angle_gamma 90.00
_space_group_name_H-M_alt 'I 4/m m m'
_space_group_IT_number 139
_space_group_name_Hall '-I 4 2'
loop_
_atom_site_label
_atom_site_fract_x
_atom_site_fract_y
_atom_site_fract_z
Y1 0.0000 0.0000 0.1718
Tm1 0.0000 0.5000 0.0000
Tl1 0.0000 0.0000 0.3673
S1 0.0000 0.0000 0.0000
```

Main lines, in order of rising 2θ (2θ from 10° to 80°):
| index | 2θ/deg | d [Å] | intensity |
| --- | --- | --- | --- |
| 0 0 2 | 11.07 | 7.995 | 32 |
| 1 1 2 | 27.61 | 3.230 | 57 |
| 1 1 4 | 33.87 | 2.647 | 100 |
| 2 0 0 | 35.96 | 2.497 | 66 |
| 2 0 6 | 50.06 | 1.822 | 25 |
| 3 1 4 | 63.32 | 1.469 | 34 |